Structure and computed powder XRD pattern of Li2Tl2IrO6 (a structure optimized by DFT (GGA-PBE); Cu Kα X-rays).
No peak broadening, texture or thermal motion is included.

Most intense lines, 10 to 90 degrees two-theta, in order of rising 2θ:
| d_spacing | two_theta | I_rel |
| --- | --- | --- |
| 5.024 | 17.7 | 100 |
| 2.926 | 30.5 | 47 |
| 2.869 | 31.2 | 19 |
| 2.793 | 32.0 | 24 |
| 2.673 | 33.5 | 30 |
| 2.405 | 37.4 | 40 |

```
data_Li2Tl2IrO6
_cell_length_a 5.9060
_cell_length_b 10.2068
_cell_length_c 5.1720
_cell_angle_alpha 90.00
_cell_angle_beta 103.73
_cell_angle_gamma 90.00
_symmetry_space_group_name_H-M 'C 1 2/m 1'
_symmetry_Int_Tables_number 12
loop_
_symmetry_equiv_pos_as_xyz
'x,y,z'
'-x,-y,-z'
'-x,y,-z'
'x,-y,z'
'x+1/2,y+1/2,z'
'-x+1/2,-y+1/2,-z'
'-x+1/2,y+1/2,-z'
'x+1/2,-y+1/2,z'
loop_
_atom_site_label
_atom_site_fract_x
_atom_site_fract_y
_atom_site_fract_z
Li1 0.0000 0.1225 0.0000
Tl1 0.0000 0.3361 0.5000
Ir1 0.0000 0.0000 0.5000
O1 0.1814 0.1428 0.7160
O2 0.2270 0.0000 0.2736
```